[1]
# LaCo4Si12
Theoretical XRD peak list, Cu Kα (λ = 1.5418 Å). Input: a structure optimized by DFT (PBE).
Peak positions follow from Bragg's law for the DFT cell and can differ from measured ones.

Lattice parameters (Å, degrees): 8.1221 8.1221 8.1221 90.00 90.00 90.00
Space group Im-3 (No. 204)
Asymmetric unit:
La 0.0000 0.0000 0.0000 x2
Co 0.2500 0.2500 0.2500 x8
Si 0.0000 0.1848 0.3514 x24

The 12 most intense peaks (10 to 90 degrees two-theta), most intense first:
2θ = 34.93°, I 100, hkl 3 1 0
2θ = 31.15°, I 96, hkl 2 2 0
2θ = 55.42°, I 90, hkl 4 2 2
2θ = 41.60°, I 77, hkl 3 2 1
2θ = 26.89°, I 65, hkl 2 1 1
2θ = 57.89°, I 44, hkl 4 1 3
2θ = 15.43°, I 40, hkl 1 1 0
2θ = 44.63°, I 31, hkl 4 0 0
2θ = 73.78°, I 23, hkl 6 0 2
2θ = 50.24°, I 23, hkl 4 2 0
2θ = 67.21°, I 18, hkl 5 0 3
2θ = 84.31°, I 18, hkl 5 3 4

---

[2]
# La12Co6Si
Theoretical XRD peak list, Cu Kα (λ = 1.5418 Å). Input: a structure optimized by DFT (PBE).
Peak positions follow from Bragg's law for the DFT cell and can differ from measured ones.

Lattice parameters (Å, degrees): 10.0482 10.0482 10.0482 90.00 90.00 90.00
Space group Im-3 (No. 204)
Asymmetric unit:
La 0.0000 0.3081 0.1861 x24
Co 0.0000 0.1224 0.5000 x12
Si 0.0000 0.0000 0.0000 x2

The 12 most intense peaks (10 to 90 degrees two-theta), most intense first:
2θ = 33.37°, I 100, hkl 3 1 2
2θ = 28.08°, I 43, hkl 3 0 1
2θ = 53.15°, I 35, hkl 5 3 0
2θ = 56.45°, I 32, hkl 5 2 3
2θ = 30.83°, I 32, hkl 2 2 2
2θ = 46.06°, I 22, hkl 5 0 1
2θ = 82.60°, I 17, hkl 7 0 5
2θ = 81.24°, I 15, hkl 8 2 2
2θ = 65.71°, I 15, hkl 5 3 4
2θ = 54.82°, I 15, hkl 6 0 0
2θ = 12.46°, I 12, hkl 1 1 0
2θ = 37.99°, I 12, hkl 3 3 0

---

[3]
# LaCo9Si4
Theoretical XRD peak list, Cu Kα (λ = 1.5418 Å). Input: a structure optimized by DFT (PBE).
Peak positions follow from Bragg's law for the DFT cell and can differ from measured ones.

Lattice parameters (Å, degrees): 7.7627 7.7627 11.5058 90.00 90.00 90.00
Space group I4/mcm (No. 140)
Asymmetric unit:
La 0.0000 0.0000 0.2500 x4
Co 0.0000 0.5000 0.0000 x4
Co 0.0698 0.2001 0.0000 x16
Co 0.1289 0.3711 0.1800 x16
Si 0.1689 0.3311 0.3791 x16

The 12 most intense peaks (10 to 90 degrees two-theta), most intense first:
2θ = 39.93°, I 100, hkl 3 1 2
2θ = 47.40°, I 42, hkl 0 0 6
2θ = 48.49°, I 35, hkl 3 2 3
2θ = 38.97°, I 24, hkl 2 0 4
2θ = 36.27°, I 21, hkl 2 2 2
2θ = 35.23°, I 21, hkl 1 1 4
2θ = 49.03°, I 20, hkl 4 1 1
2θ = 31.09°, I 16, hkl 0 0 4
2θ = 36.61°, I 16, hkl 3 1 0
2θ = 52.74°, I 13, hkl 4 2 0
2θ = 57.27°, I 13, hkl 4 0 4
2θ = 26.82°, I 12, hkl 2 1 1